# PrTmSi2Os
Simulated powder diffraction line list, Cu Ka. Input: a cell relaxed with GGA-PBE.

Largest 12 diffraction maxima, in order of falling intensity, 15° ≤ 2θ ≤ 90°:
2θ/deg  intensity
33.41  100
36.79  37
40.37  31
42.45  29
27.33  26
40.66  25
22.92  21
60.01  19
38.22  16
64.75  15
34.46  14
58.70  13

Cell and atoms:
Lattice parameters (Å, degrees): 5.764 5.764 10.155 116.27 116.27 43.37
Sites, in units of the cell vectors:
Pr1 0.192 0.192 0.109
Pr2 0.808 0.808 0.891
Tm1 0.001 0.001 0.672
Tm2 0.999 0.999 0.328
Si1 0.356 0.356 0.441
Si2 0.497 0.497 0.868
Si3 0.503 0.503 0.132
Si4 0.644 0.644 0.559
Os1 0.268 0.268 0.622
Os2 0.732 0.732 0.378